Starting from a DFT-relaxed cell (PBE, Alexandria), the X-ray powder pattern of Sr2Ac2Pd3 was computed for Cu Kα (weighted mean of Kα1 and Kα2).
Lines closer than 0.1° are merged.

Cell and atoms:
a = 7.626 Å, b = 7.626 Å, c = 7.762 Å
α = 100.07°, β = 100.07°, γ = 33.51°
Sites, in units of the cell vectors:
1 Sr 0.133 0.133 0.367
2 Sr 0.867 0.867 0.633
3 Ac 0.372 0.372 0.102
4 Ac 0.628 0.628 0.898
5 Pd 0.000 0.000 0.000
6 Pd 0.239 0.239 0.754
7 Pd 0.761 0.761 0.246

Most intense lines, 10 to 90 degrees two-theta, sorted by position:
d 7.632, 2θ = 11.6°, intensity 55; d 4.809, 2θ = 18.4°, intensity 11; d 3.597, 2θ = 24.7°, intensity 20; d 3.140, 2θ = 28.4°, intensity 49; d 3.123, 2θ = 28.6°, intensity 100; d 2.635, 2θ = 34.0°, intensity 15; d 2.230, 2θ = 40.5°, intensity 37; d 2.218, 2θ = 40.7°, intensity 18; d 2.199, 2θ = 41.1°, intensity 56; d 1.801, 2θ = 50.7°, intensity 20; d 1.561, 2θ = 59.2°, intensity 13; d 1.391, 2θ = 67.3°, intensity 17



Starting from a DFT-relaxed cell (PBE, Alexandria), the X-ray powder pattern of Ba3Bi2P2Pd4 was computed for Cu Kα (weighted mean of Kα1 and Kα2).
Lines closer than 0.1° are merged.

Cell and atoms:
a = 4.500 Å, b = 4.500 Å, c = 17.347 Å
α = 90.00°, β = 90.00°, γ = 120.00°
Sites, in units of the cell vectors:
1 Ba 0.000 0.000 0.000
2 Ba 0.000 0.000 0.254
3 Ba 0.000 0.000 0.746
4 Bi 0.333 0.667 0.572
5 Bi 0.667 0.333 0.428
6 P 0.333 0.667 0.133
7 P 0.667 0.333 0.867
8 Pd 0.333 0.667 0.404
9 Pd 0.333 0.667 0.869
10 Pd 0.667 0.333 0.131
11 Pd 0.667 0.333 0.596

Most intense lines, 10 to 90 degrees two-theta, sorted by position:
d 8.673, 2θ = 10.2°, intensity 11; d 3.803, 2θ = 23.4°, intensity 40; d 3.555, 2θ = 25.0°, intensity 25; d 3.232, 2θ = 27.6°, intensity 34; d 2.898, 2θ = 30.9°, intensity 100; d 2.478, 2θ = 36.3°, intensity 17; d 2.322, 2θ = 38.8°, intensity 15; d 2.250, 2θ = 40.1°, intensity 75; d 1.777, 2θ = 51.4°, intensity 38; d 1.666, 2θ = 55.1°, intensity 31; d 1.395, 2θ = 67.1°, intensity 19; d 1.299, 2θ = 72.8°, intensity 13



Starting from a DFT-relaxed cell (PBE, Alexandria), the X-ray powder pattern of Cu7Sn3 was computed for Cu Kα (weighted mean of Kα1 and Kα2).
Lines closer than 0.1° are merged.

Cell and atoms:
a = 7.334 Å, b = 7.334 Å, c = 5.725 Å
α = 103.35°, β = 103.35°, γ = 31.08°
Sites, in units of the cell vectors:
1 Cu 0.000 0.000 0.000
2 Cu 0.198 0.198 0.603
3 Cu 0.404 0.404 0.187
4 Cu 0.404 0.404 0.695
5 Cu 0.596 0.596 0.305
6 Cu 0.596 0.596 0.813
7 Cu 0.802 0.802 0.397
8 Sn 0.000 0.000 0.500
9 Sn 0.195 0.195 0.130
10 Sn 0.805 0.805 0.870

Most intense lines, 10 to 90 degrees two-theta, sorted by position:
d 2.313, 2θ = 38.9°, intensity 100; d 2.250, 2θ = 40.1°, intensity 96; d 2.019, 2θ = 44.9°, intensity 31; d 1.965, 2θ = 46.2°, intensity 32; d 1.944, 2θ = 46.7°, intensity 30; d 1.408, 2θ = 66.4°, intensity 19; d 1.382, 2θ = 67.8°, intensity 19; d 1.191, 2θ = 80.7°, intensity 11; d 1.190, 2θ = 80.7°, intensity 10; d 1.182, 2θ = 81.4°, intensity 12; d 1.164, 2θ = 82.9°, intensity 11; d 1.125, 2θ = 86.5°, intensity 10



Starting from a DFT-relaxed cell (PBE, Alexandria), the X-ray powder pattern of AcAgH8Rh2 was computed for Cu Kα (weighted mean of Kα1 and Kα2).
Lines closer than 0.1° are merged.

Cell and atoms:
a = 6.394 Å, b = 6.394 Å, c = 6.394 Å
α = 45.72°, β = 45.72°, γ = 45.72°
Sites, in units of the cell vectors:
1 Ac 0.000 0.000 0.000
2 Ag 0.500 0.500 0.500
3 H 0.096 0.866 0.411
4 H 0.134 0.589 0.904
5 H 0.302 0.302 0.302
6 H 0.411 0.096 0.866
7 H 0.589 0.904 0.134
8 H 0.698 0.698 0.698
9 H 0.866 0.411 0.096
10 H 0.904 0.134 0.589
11 Rh 0.201 0.201 0.201
12 Rh 0.799 0.799 0.799

Most intense lines, 10 to 90 degrees two-theta, sorted by position:
d 4.173, 2θ = 21.3°, intensity 38; d 3.845, 2θ = 23.1°, intensity 25; d 3.036, 2θ = 29.4°, intensity 95; d 2.857, 2θ = 31.3°, intensity 25; d 2.681, 2θ = 33.4°, intensity 41; d 2.484, 2θ = 36.2°, intensity 100; d 1.923, 2θ = 47.3°, intensity 26; d 1.875, 2θ = 48.6°, intensity 44; d 1.593, 2θ = 57.9°, intensity 26; d 1.520, 2θ = 60.9°, intensity 27; d 1.434, 2θ = 65.0°, intensity 18; d 1.180, 2θ = 81.6°, intensity 19